Simulated X-ray diffraction stick pattern of NaErTe3Au for CuKα, from the PBE geometry in OQMD.
Neutral-atom scattering factors, no anomalous dispersion.

Crystal structure
abc: 11.141 4.143 15.350
angles: 90.00 90.00 90.00
Positions (direct):
Na (0.226, 0.250, 0.022)
Na (0.274, 0.750, 0.522)
Na (0.726, 0.250, 0.478)
Na (0.774, 0.750, 0.978)
Er (0.020, 0.750, 0.746)
Er (0.480, 0.250, 0.246)
Er (0.520, 0.750, 0.754)
Er (0.980, 0.250, 0.254)
Te (0.036, 0.750, 0.113)
Te (0.073, 0.250, 0.605)
Te (0.232, 0.250, 0.341)
Te (0.268, 0.750, 0.841)
Te (0.427, 0.750, 0.105)
Te (0.464, 0.250, 0.613)
Te (0.536, 0.750, 0.387)
Te (0.573, 0.250, 0.895)
Te (0.732, 0.250, 0.159)
Te (0.768, 0.750, 0.659)
Te (0.927, 0.750, 0.395)
Te (0.964, 0.250, 0.887)
Au (0.238, 0.750, 0.219)
Au (0.262, 0.250, 0.719)
Au (0.738, 0.750, 0.281)
Au (0.762, 0.250, 0.781)

Principal peaks in the range 10° ≤ 2θ ≤ 90°, by angle:
| (hkl) | 2θ (°) | I_rel |
| --- | --- | --- |
| 0 0 2 | 11.5 | 85 |
| 1 1 1 | 23.6 | 14 |
| 3 0 2 | 26.7 | 13 |
| 1 1 3 | 28.9 | 33 |
| 2 1 3 | 32.1 | 100 |
| 4 0 2 | 34.2 | 15 |
| 2 1 5 | 40.0 | 33 |
| 3 0 6 | 42.9 | 10 |
| 0 2 0 | 43.7 | 19 |
| 3 1 5 | 44.1 | 18 |